The following is a computed powder XRD pattern of KGe2P3O12. It was derived from a crystal structure in the Materials Project, relaxed with PBE, using Cu Ka.

Most intense lines, 15 to 90 degrees two-theta, by intensity:
| two_theta | intensity | h k l |
| --- | --- | --- |
| 32.19 | 100 | 1 1 6 |
| 21.86 | 78 | 1 1 0 |
| 24.82 | 68 | 2 -1 3 |
| 29.80 | 33 | 0 2 4 |
| 20.01 | 32 | 1 0 4 |
| 50.91 | 30 | 2 2 6 |

Atomic structure:
Lattice parameters (Å, degrees): 8.1315 8.1315 22.8647 90.00 90.00 120.00
Space group R-3 (No. 148, hexagonal axes)
Unique sites:
K 0.0000 0.0000 0.0000
K 0.0000 0.0000 0.5000
Ge 0.0000 0.0000 0.1480
Ge 0.0000 0.0000 0.3472
P 0.0011 0.7167 0.2506
O 0.0171 0.1901 0.0949
O 0.0388 0.8293 0.1932
O 0.0735 0.2115 0.3984
O 0.0856 0.2213 0.6995